Diffraction record for LiZn2. The powder X-ray diffraction pattern is simulated, not measured: it uses a cell relaxed with GGA-PBE and Cu Ka.
Lines closer than 0.1° are merged.

Lattice parameters (Å, degrees): 4.060 4.060 21.429 90.00 90.00 90.00
Space group I4_1/amd (No. 141, origin choice 2)
Unique sites:
Li  0.000  0.250  0.293 x8
Zn  0.000  0.250  0.128 x8
Zn  0.000  0.250  0.793 x8

Peak list (8 most intense, 5° ≤ 2θ ≤ 70°, sorted by position)
5.357 Å, 2θ = 16.55°, I = 129, (0 0 4)
3.989 Å, 2θ = 22.29°, I = 345, (1 0 1)
2.947 Å, 2θ = 30.32°, I = 194, (1 0 5)
2.773 Å, 2θ = 32.28°, I = 89, (1 1 2)
2.238 Å, 2θ = 40.31°, I = 1000, (1 1 6)
2.030 Å, 2θ = 44.64°, I = 372, (2 0 0)
1.786 Å, 2θ = 51.15°, I = 120, (0 0 12)
1.435 Å, 2θ = 64.97°, I = 114, (2 2 0)

***

Diffraction record for LiZn12. The powder X-ray diffraction pattern is simulated, not measured: it uses a cell relaxed with GGA-PBE and Cu Ka.
Lines closer than 0.1° are merged.

Lattice parameters (Å, degrees): 8.870 8.870 5.208 90.00 90.00 90.00
Space group I4/mmm (No. 139)
Unique sites:
Li  0.000  0.000  0.000 x2
Zn  0.000  0.215  0.500 x8
Zn  0.000  0.350  0.000 x8
Zn  0.250  0.250  0.250 x8

Peak list (8 most intense, 5° ≤ 2θ ≤ 70°, sorted by position)
4.435 Å, 2θ = 20.02°, I = 309, (2 0 0)
2.571 Å, 2θ = 34.89°, I = 281, (3 0 1)
2.246 Å, 2θ = 40.16°, I = 588, (2 0 2)
2.224 Å, 2θ = 40.56°, I = 693, (3 2 1)
2.217 Å, 2θ = 40.69°, I = 531, (4 0 0)
2.003 Å, 2θ = 45.26°, I = 1000, (2 2 2)
1.988 Å, 2θ = 45.63°, I = 497, (4 1 1)
1.983 Å, 2θ = 45.75°, I = 564, (4 2 0)

***

Diffraction record for Li3Zn. The powder X-ray diffraction pattern is simulated, not measured: it uses a cell relaxed with GGA-PBE and Cu Ka.
Lines closer than 0.1° are merged.

Lattice parameters (Å, degrees): 2.831 9.422 4.965 90.00 90.00 90.00
Space group Imm2 (No. 44)
Unique sites:
Li  0.000  0.000  0.000 x2
Li  0.000  0.238  0.652 x4
Zn  0.000  0.500  0.991 x2

Peak list (8 most intense, 5° ≤ 2θ ≤ 70°, sorted by position)
4.711 Å, 2θ = 18.84°, I = 583, (0 2 0)
4.393 Å, 2θ = 20.22°, I = 1000, (0 1 1)
2.712 Å, 2θ = 33.03°, I = 284, (1 1 0)
2.654 Å, 2θ = 33.77°, I = 264, (0 3 1)
2.460 Å, 2θ = 36.53°, I = 257, (1 0 1)
2.196 Å, 2θ = 41.10°, I = 237, (0 2 2)
2.180 Å, 2θ = 41.41°, I = 475, (1 2 1)
1.831 Å, 2θ = 49.80°, I = 178, (1 1 2)

***

Diffraction record for Li15Zn. The powder X-ray diffraction pattern is simulated, not measured: it uses a cell relaxed with GGA-PBE and Cu Ka.
Lines closer than 0.1° are merged.

Lattice parameters (Å, degrees): 5.9944 5.9944 9.7906 90.00 90.00 120.00
Space group P-6m2 (No. 187)
Unique sites:
Li  0.0000  0.0000  0.0000 x1
Li  0.0044  0.5022  0.5000 x3
Li  0.3262  0.1631  0.2613 x6
Li  0.3333  0.6667  0.2436 x2
Li  0.5029  0.0058  0.0000 x3
Zn  0.0000  0.0000  0.5000 x1

Peak list (8 most intense, 5° ≤ 2θ ≤ 70°, sorted by position)
9.791 Å, 2θ = 9.03°, I = 904, (0 0 1)
5.191 Å, 2θ = 17.08°, I = 668, (1 0 0)
4.586 Å, 2θ = 19.35°, I = 1000, (1 0 1)
3.562 Å, 2θ = 25.00°, I = 521, (1 0 2)
2.866 Å, 2θ = 31.21°, I = 293, (1 1 1)
2.763 Å, 2θ = 32.40°, I = 260, (1 0 3)
2.596 Å, 2θ = 34.56°, I = 230, (2 0 0)
2.293 Å, 2θ = 39.29°, I = 638, (2 0 2)

***

Diffraction record for Li4Zn. The powder X-ray diffraction pattern is simulated, not measured: it uses a cell relaxed with GGA-PBE and Cu Ka.
Lines closer than 0.1° are merged.

Lattice parameters (Å, degrees): 9.786 3.082 7.059 90.00 125.19 90.00
Space group C2/m (No. 12)
Unique sites:
Li  0.090  0.000  0.376 x4
Li  0.216  0.500  0.811 x4
Zn  0.000  0.500  0.000 x2

Peak list (8 most intense, 5° ≤ 2θ ≤ 70°, sorted by position)
5.769 Å, 2θ = 15.36°, I = 1000, (0 0 1)
4.844 Å, 2θ = 18.32°, I = 663, (2 0 -1)
3.999 Å, 2θ = 22.23°, I = 408, (2 0 0)
3.475 Å, 2θ = 25.64°, I = 285, (2 0 -2)
2.879 Å, 2θ = 31.07°, I = 503, (1 1 0)
2.817 Å, 2θ = 31.76°, I = 322, (1 1 -1)
2.384 Å, 2θ = 37.73°, I = 394, (1 1 1)
2.150 Å, 2θ = 42.02°, I = 291, (3 1 -2)

***

Diffraction record for LiZn6. The powder X-ray diffraction pattern is simulated, not measured: it uses a cell relaxed with GGA-PBE and Cu Ka.
Lines closer than 0.1° are merged.

Lattice parameters (Å, degrees): 5.149 5.149 8.545 90.00 90.00 90.00
Space group P4/nbm (No. 125, origin choice 2)
Unique sites:
Li  0.250  0.750  0.000 x2
Zn  0.073  0.573  0.360 x8
Zn  0.250  0.250  0.144 x4

Peak list (8 most intense, 5° ≤ 2θ ≤ 70°, sorted by position)
8.545 Å, 2θ = 10.35°, I = 852, (0 0 1)
3.350 Å, 2θ = 26.61°, I = 737, (1 1 1)
2.465 Å, 2θ = 36.45°, I = 944, (2 0 1)
2.243 Å, 2θ = 40.20°, I = 581, (1 1 3)
2.223 Å, 2θ = 40.58°, I = 823, (2 1 1)
2.136 Å, 2θ = 42.31°, I = 554, (0 0 4)
2.027 Å, 2θ = 44.71°, I = 1000, (2 1 2)
1.910 Å, 2θ = 47.61°, I = 795, (2 0 3)

***

Diffraction record for LiZn2. The powder X-ray diffraction pattern is simulated, not measured: it uses a cell relaxed with GGA-PBE and Cu Ka.
Lines closer than 0.1° are merged.

Lattice parameters (Å, degrees): 5.1161 5.1161 8.4373 90.00 90.00 120.00
Space group P6_3/mmc (No. 194)
Unique sites:
Li  0.3333  0.6667  0.0619 x4
Zn  0.0000  0.0000  0.0000 x2
Zn  0.1701  0.3402  0.7500 x6

Peak list (8 most intense, 5° ≤ 2θ ≤ 70°, sorted by position)
4.431 Å, 2θ = 20.04°, I = 910, (1 0 0)
4.219 Å, 2θ = 21.06°, I = 530, (0 0 2)
3.923 Å, 2θ = 22.67°, I = 552, (1 0 1)
2.187 Å, 2θ = 41.27°, I = 673, (1 1 2)
2.143 Å, 2θ = 42.17°, I = 1000, (2 0 1)
2.109 Å, 2θ = 42.87°, I = 365, (0 0 4)
1.961 Å, 2θ = 46.29°, I = 649, (2 0 2)
1.740 Å, 2θ = 52.59°, I = 447, (2 0 3)

***

Diffraction record for LiZrZn6. The powder X-ray diffraction pattern is simulated, not measured: it uses a cell relaxed with GGA-PBE and Cu Ka.
Lines closer than 0.1° are merged.

Lattice parameters (Å, degrees): 4.3239 4.3239 22.8516 90.00 90.00 120.00
Space group R-3m (No. 166, hexagonal axes)
Unique sites:
Li  0.0000  0.0000  0.0000 x3
Zr  0.0000  0.0000  0.5000 x3
Zn  0.0000  0.0000  0.1117 x6
Zn  0.0000  0.0000  0.2506 x6
Zn  0.0000  0.0000  0.3709 x6

Peak list (8 most intense, 5° ≤ 2θ ≤ 70°, sorted by position)
7.617 Å, 2θ = 11.62°, I = 72, (0 0 3)
3.809 Å, 2θ = 23.36°, I = 46, (0 0 6)
3.695 Å, 2θ = 24.08°, I = 95, (1 0 1)
2.897 Å, 2θ = 30.87°, I = 154, (0 1 5)
2.461 Å, 2θ = 36.52°, I = 155, (1 0 7)
2.271 Å, 2θ = 39.69°, I = 1000, (0 1 8)
2.162 Å, 2θ = 41.78°, I = 984, (1 1 0)
1.566 Å, 2θ = 58.99°, I = 296, (2 0 8)

***

Diffraction record for LiZr3. The powder X-ray diffraction pattern is simulated, not measured: it uses a cell relaxed with GGA-PBE and Cu Ka.
Lines closer than 0.1° are merged.

Lattice parameters (Å, degrees): 2.941 4.947 6.152 90.00 103.35 90.00
Space group P2/m (No. 10)
Unique sites:
Li  0.000  0.000  0.000 x1
Zr  0.000  0.000  0.500 x1
Zr  0.418  0.500  0.249 x2

Peak list (8 most intense, 5° ≤ 2θ ≤ 70°, sorted by position)
5.986 Å, 2θ = 14.80°, I = 325, (0 0 1)
4.947 Å, 2θ = 17.93°, I = 216, (0 1 0)
3.813 Å, 2θ = 23.33°, I = 237, (0 1 1)
2.561 Å, 2θ = 35.04°, I = 825, (0 1 2)
2.476 Å, 2θ = 36.29°, I = 1000, (0 2 0)
2.470 Å, 2θ = 36.38°, I = 293, (1 1 -1)
2.358 Å, 2θ = 38.17°, I = 274, (1 0 -2)
1.707 Å, 2θ = 53.70°, I = 199, (1 2 -2)

***

Diffraction record for Li2Zr. The powder X-ray diffraction pattern is simulated, not measured: it uses a cell relaxed with GGA-PBE and Cu Ka.
Lines closer than 0.1° are merged.

Lattice parameters (Å, degrees): 3.166 4.888 16.277 90.00 90.00 90.00
Space group Fmmm (No. 69)
Unique sites:
Li  0.000  0.000  0.166 x8
Zr  0.000  0.000  0.500 x4

Peak list (8 most intense, 5° ≤ 2θ ≤ 70°, sorted by position)
8.139 Å, 2θ = 10.87°, I = 1000, (0 0 2)
4.069 Å, 2θ = 21.84°, I = 207, (0 0 4)
2.713 Å, 2θ = 33.02°, I = 98, (0 0 6)
2.622 Å, 2θ = 34.19°, I = 259, (1 1 1)
2.386 Å, 2θ = 37.70°, I = 272, (1 1 3)
2.341 Å, 2θ = 38.46°, I = 93, (0 2 2)
2.059 Å, 2θ = 43.99°, I = 127, (1 1 5)
1.750 Å, 2θ = 52.28°, I = 74, (1 1 7)

***

Diffraction record for LiZr5. The powder X-ray diffraction pattern is simulated, not measured: it uses a cell relaxed with GGA-PBE and Cu Ka.
Lines closer than 0.1° are merged.

Lattice parameters (Å, degrees): 11.658 3.160 7.522 90.00 103.54 90.00
Space group Cm (No. 8)
Unique sites:
Li  0.000  0.000  0.000 x2
Zr  0.060  0.000  0.611 x2
Zr  0.179  0.500  0.342 x2
Zr  0.220  0.500  0.953 x2
Zr  0.338  0.000  0.688 x2
Zr  0.395  0.000  0.279 x2

Peak list (8 most intense, 5° ≤ 2θ ≤ 70°, sorted by position)
2.789 Å, 2θ = 32.09°, I = 345, (2 0 2)
2.750 Å, 2θ = 32.56°, I = 419, (1 1 1)
2.547 Å, 2θ = 35.24°, I = 707, (4 0 -2)
2.456 Å, 2θ = 36.59°, I = 479, (4 0 1)
2.438 Å, 2θ = 36.88°, I = 420, (0 0 3)
2.424 Å, 2θ = 37.09°, I = 999, (3 1 0)
2.415 Å, 2θ = 37.23°, I = 1000, (1 1 -2)
1.603 Å, 2θ = 57.51°, I = 328, (3 1 3)

***

Diffraction record for Lu. The powder X-ray diffraction pattern is simulated, not measured: it uses a cell relaxed with GGA-PBE and Cu Ka.
Lines closer than 0.1° are merged.

Lattice parameters (Å, degrees): 4.885 4.885 4.885 90.00 90.00 90.00
Space group Fm-3m (No. 225)
Unique sites:
Lu  0.000  0.000  0.000 x4

Peak list (5 most intense, 5° ≤ 2θ ≤ 70°, sorted by position)
2.821 Å, 2θ = 31.72°, I = 1000, (1 1 1)
2.443 Å, 2θ = 36.79°, I = 505, (2 0 0)
1.727 Å, 2θ = 53.02°, I = 358, (2 2 0)
1.473 Å, 2θ = 63.12°, I = 425, (3 1 1)
1.410 Å, 2θ = 66.27°, I = 122, (2 2 2)

***

Diffraction record for LuMg2Mn3S8. The powder X-ray diffraction pattern is simulated, not measured: it uses a cell relaxed with GGA-PBE and Cu Ka.
Lines closer than 0.1° are merged.

Lattice parameters (Å, degrees): 12.760 7.396 7.445 90.00 125.12 90.00
Space group C2/m (No. 12)
Unique sites:
Lu  0.000  0.000  0.000 x2
Mg  0.124  0.500  0.872 x4
Mn  0.000  0.000  0.500 x2
Mn  0.250  0.250  0.500 x4
S  0.016  0.235  0.283 x8
S  0.241  0.000  0.722 x4
S  0.248  0.500  0.715 x4

Peak list (8 most intense, 5° ≤ 2θ ≤ 70°, sorted by position)
6.034 Å, 2θ = 14.68°, I = 1000, (1 1 0)
3.691 Å, 2θ = 24.11°, I = 209, (0 2 0)
3.161 Å, 2θ = 28.23°, I = 563, (3 1 -2)
3.148 Å, 2θ = 28.35°, I = 234, (3 1 0)
2.624 Å, 2θ = 34.18°, I = 577, (2 2 -2)
2.609 Å, 2θ = 34.37°, I = 285, (4 0 0)
1.857 Å, 2θ = 49.07°, I = 252, (2 2 2)
1.844 Å, 2θ = 49.44°, I = 271, (6 2 -2)

***

Diffraction record for LuMgMoS4. The powder X-ray diffraction pattern is simulated, not measured: it uses a cell relaxed with GGA-PBE and Cu Ka.
Lines closer than 0.1° are merged.

Lattice parameters (Å, degrees): 13.324 7.147 7.703 90.00 125.30 90.00
Space group Cm (No. 8)
Unique sites:
Lu  0.000  0.000  0.000 x2
Lu  0.000  0.000  0.489 x2
Mg  0.149  0.500  0.394 x2
Mg  0.395  0.000  0.639 x2
Mo  0.259  0.205  0.003 x4
S  0.030  0.239  0.774 x4
S  0.252  0.000  0.246 x2
S  0.252  0.000  0.746 x2
S  0.258  0.500  0.215 x2
S  0.258  0.500  0.790 x2
S  0.489  0.241  0.233 x4

Peak list (8 most intense, 5° ≤ 2θ ≤ 70°, sorted by position)
6.286 Å, 2θ = 14.09°, I = 426, (0 0 1)
5.973 Å, 2θ = 14.83°, I = 936, (1 1 0)
3.236 Å, 2θ = 27.57°, I = 1000, (3 1 -2)
2.718 Å, 2θ = 32.95°, I = 387, (4 0 0)
2.620 Å, 2θ = 34.23°, I = 652, (2 2 -2)
1.992 Å, 2θ = 45.55°, I = 276, (3 3 -2)
1.886 Å, 2θ = 48.24°, I = 584, (2 2 2)
1.832 Å, 2θ = 49.78°, I = 199, (3 1 2)